Starting from a crystal structure in Alexandria, relaxed with GGA-PBE, the powder XRD pattern of LaPr7Ho12 was computed for Cu Ka.

Cell and atoms:
Cell: 8.8380 8.8380 8.8380 Å, 86.43 86.43 86.43°
Atoms (fractional coordinates):
La  0.0000  0.0000  0.0000
Pr  0.0678  0.3969  0.1589
Pr  0.1589  0.0678  0.3969
Pr  0.3969  0.1589  0.0678
Pr  0.5000  0.5000  0.5000
Pr  0.6031  0.8411  0.9322
Pr  0.8411  0.9322  0.6031
Pr  0.9322  0.6031  0.8411
Ho  0.1328  0.6231  0.4961
Ho  0.1475  0.2754  0.7337
Ho  0.2663  0.8525  0.7246
Ho  0.2754  0.7337  0.1475
Ho  0.3769  0.5039  0.8672
Ho  0.4961  0.1328  0.6231
Ho  0.5039  0.8672  0.3769
Ho  0.6231  0.4961  0.1328
Ho  0.7246  0.2663  0.8525
Ho  0.7337  0.1475  0.2754
Ho  0.8525  0.7246  0.2663
Ho  0.8672  0.3769  0.5039

Largest 8 diffraction maxima, by angle, 2θ from 15° to 90°:
| 2theta | Rel. int. |
| --- | --- |
| 28.8 | 245 |
| 30.5 | 273 |
| 31.3 | 1000 |
| 31.6 | 469 |
| 32.4 | 244 |
| 32.7 | 459 |
| 36.4 | 144 |
| 54.7 | 183 |